This entry pairs a crystal structure of Nd3PaS4 with its simulated powder diffraction line list. Radiation: copper Kα. Structure: DFT lattice parameters and positions (GGA-PBE).

Most intense lines, 10 to 80 degrees two-theta, low angle first:
(hkl)  d (Å)  I_rel
2 0 0  3.298  21
0 0 2  3.280  63
1 2 1  2.844  100
2 0 2  2.015  37
1 2 -3  2.007  36
1 2 3  1.714  24

Crystal structure
a b c (Å): 6.9895 8.0209 6.9584
angles (deg): 90.00 109.31 90.00
Fractional positions:
Nd: 0.0000 0.1244 0.2500
Nd: 0.0000 0.3726 0.7500
Nd: 0.0000 0.6274 0.2500
Nd: 0.0000 0.8756 0.7500
Nd: 0.5000 0.3718 0.2500
Nd: 0.5000 0.6282 0.7500
Pa: 0.5000 0.1216 0.7500
Pa: 0.5000 0.8784 0.2500
S: 0.2564 0.3696 0.5065
S: 0.2564 0.6304 0.0065
S: 0.2577 0.1209 0.9991
S: 0.2577 0.8791 0.4991
S: 0.7423 0.1209 0.5009
S: 0.7423 0.8791 0.0009
S: 0.7436 0.3696 0.9935
S: 0.7436 0.6304 0.4935